Structure and simulated X-ray powder pattern of HoAl3C3 (a cell relaxed with PBE; a wavelength of 1.5418 Å).
Lines closer than 0.1° are merged.

The 10 most intense peaks (2θ = 10–90°), in order of rising 2θ:
index	2θ (°)	I_rel
0 0 2	10.23	100
0 0 4	20.53	24
1 0 0	30.09	18
1 0 2	31.86	93
1 0 4	36.71	61
0 0 8	41.77	14
1 0 6	43.76	39
1 1 0	53.44	24
1 0 10	62.09	15
1 1 8	70.04	18

Structure:
Cell: 3.4288 3.4288 17.3005 Å, 90.00 90.00 120.00°
Space group P6_3/mmc (No. 194)
Inequivalent atoms, fractional coordinates:
Ho 0.0000 0.0000 0.0000 [2 per cell]
Al 0.3333 0.6667 0.1333 [4 per cell]
Al 0.3333 0.6667 0.7500 [2 per cell]
C 0.3333 0.6667 0.2500 [2 per cell]
C 0.3333 0.6667 0.5924 [4 per cell]

---

Structure and simulated X-ray powder pattern of KAlCO6 (a cell relaxed with PBE; a wavelength of 1.5418 Å).
Lines closer than 0.1° are merged.

The 10 most intense peaks (2θ = 10–90°), in order of rising 2θ:
index	2θ (°)	I_rel
1 1 0	13.53	100
2 0 0	22.21	35
2 1 1	27.88	94
0 0 2	29.67	23
1 3 1	30.02	34
2 2 1	31.11	90
1 1 2	32.74	37
1 4 0	33.47	36
4 1 0	46.04	21
3 3 2	51.71	23

Structure:
Cell: 8.0066 11.3623 6.0210 Å, 90.00 90.00 90.00°
Space group Pna2_1 (No. 33)
Inequivalent atoms, fractional coordinates:
K 0.1601 0.1824 0.0000 [4 per cell]
Al 0.0143 0.4958 0.2475 [4 per cell]
C 0.0471 0.7205 0.0066 [4 per cell]
O 0.0367 0.8312 0.0107 [4 per cell]
O 0.0516 0.6641 0.8146 [4 per cell]
O 0.0580 0.6615 0.1954 [4 per cell]
O 0.1059 0.5152 0.5074 [4 per cell]
O 0.1215 0.9686 0.6041 [4 per cell]
O 0.2292 0.4415 0.0601 [4 per cell]

---

Structure and simulated X-ray powder pattern of K2AlPCO7 (a cell relaxed with PBE; a wavelength of 1.5418 Å).
Lines closer than 0.1° are merged.

The 10 most intense peaks (2θ = 10–90°), in order of rising 2θ:
index	2θ (°)	I_rel
0 1 1	16.25	21
0 0 2	18.46	22
1 1 -1	23.05	59
1 0 2	24.69	41
1 0 3	32.40	61
2 0 0	32.83	100
1 2 1	32.98	77
0 3 1	41.98	24
2 2 -2	47.10	30
3 0 -3	58.27	19

Structure:
Cell: 5.4584 6.6244 9.6119 Å, 90.00 90.08 90.00°
Space group P2_1/m (No. 11)
Inequivalent atoms, fractional coordinates:
K 0.2444 0.0281 0.2427 [4 per cell]
Al 0.2346 0.2500 0.6427 [2 per cell]
P 0.2691 0.7500 0.5622 [2 per cell]
C 0.2716 0.2500 0.8912 [2 per cell]
O 0.0617 0.2500 0.8230 [2 per cell]
O 0.0712 0.7500 0.4449 [2 per cell]
O 0.2402 0.5570 0.6519 [4 per cell]
O 0.2952 0.2500 0.0204 [2 per cell]
O 0.4559 0.2500 0.8012 [2 per cell]
O 0.4675 0.2500 0.5022 [2 per cell]

---

Structure and simulated X-ray powder pattern of Li2AlPCO7 (a cell relaxed with PBE; a wavelength of 1.5418 Å).
Lines closer than 0.1° are merged.

The 10 most intense peaks (2θ = 10–90°), in order of rising 2θ:
index	2θ (°)	I_rel
0 0 1	10.59	100
0 1 1	17.83	27
1 0 -1	20.07	27
1 0 1	21.27	26
1 1 -1	24.73	20
1 1 1	25.73	60
1 0 -2	26.89	38
0 2 0	28.84	67
2 0 0	35.86	22
0 2 2	36.12	19

Structure:
Cell: 5.0194 6.1915 8.3699 Å, 90.00 93.75 90.00°
Space group P2_1/m (No. 11)
Inequivalent atoms, fractional coordinates:
Li 0.2259 0.0167 0.2893 [4 per cell]
Al 0.2092 0.7500 0.8457 [2 per cell]
P 0.2767 0.2500 0.9262 [2 per cell]
C 0.2666 0.7500 0.5614 [2 per cell]
O 0.0313 0.7500 0.6206 [2 per cell]
O 0.1431 0.2500 0.0895 [2 per cell]
O 0.1896 0.0507 0.8268 [4 per cell]
O 0.3033 0.7500 0.4130 [2 per cell]
O 0.4157 0.7500 0.0362 [2 per cell]
O 0.4644 0.7500 0.6743 [2 per cell]

---

Structure and simulated X-ray powder pattern of LiSc2Al2C2O2 (a cell relaxed with PBE; a wavelength of 1.5418 Å).
Lines closer than 0.1° are merged.

The 10 most intense peaks (2θ = 10–90°), in order of rising 2θ:
index	2θ (°)	I_rel
0 0 6	14.44	100
1 0 4	33.24	100
1 0 7	36.16	54
0 1 8	37.41	51
1 0 10	40.30	32
0 1 11	41.91	68
1 0 13	45.40	23
1 1 0	56.55	65
1 0 19	57.75	23
0 2 4	67.22	18

Structure:
Cell: 3.2551 3.2551 36.8026 Å, 90.00 90.00 120.00°
Space group R3m (No. 160, hexagonal axes)
Inequivalent atoms, fractional coordinates:
Li 0.0000 0.0000 0.0000 [3 per cell]
Sc 0.0000 0.0000 0.4000 [3 per cell]
Sc 0.0000 0.0000 0.8707 [3 per cell]
Al 0.0000 0.0000 0.1449 [3 per cell]
Al 0.0000 0.0000 0.5975 [3 per cell]
C 0.0000 0.0000 0.2436 [3 per cell]
C 0.0000 0.0000 0.4976 [3 per cell]
O 0.0000 0.0000 0.0940 [3 per cell]
O 0.0000 0.0000 0.7031 [3 per cell]

---

Structure and simulated X-ray powder pattern of LiSc2Al2C2O2 (a cell relaxed with PBE; a wavelength of 1.5418 Å).
Lines closer than 0.1° are merged.

The 10 most intense peaks (2θ = 10–90°), in order of rising 2θ:
index	2θ (°)	I_rel
0 0 2	17.37	30
1 1 1	30.46	100
2 0 -2	33.80	40
1 1 -3	37.41	52
2 0 2	38.38	26
1 1 3	40.62	23
0 2 0	48.40	30
2 0 4	51.41	15
3 1 -1	53.73	32
2 2 -2	60.34	14

Structure:
Cell: 5.7479 3.7611 10.3201 Å, 90.00 98.26 90.00°
Space group C2/m (No. 12)
Inequivalent atoms, fractional coordinates:
Li 0.0000 0.0000 0.0000 [2 per cell]
Sc 0.0000 0.0000 0.5000 [2 per cell]
Sc 0.0000 0.5000 0.0000 [2 per cell]
Al 0.2055 0.5000 0.7055 [4 per cell]
C 0.1454 0.5000 0.3582 [4 per cell]
O 0.2322 0.0000 0.1144 [4 per cell]

---

Structure and simulated X-ray powder pattern of LiSc2Al2C2O2 (a cell relaxed with PBE; a wavelength of 1.5418 Å).
Lines closer than 0.1° are merged.

The 10 most intense peaks (2θ = 10–90°), in order of rising 2θ:
index	2θ (°)	I_rel
0 0 6	13.34	41
0 0 9	20.07	37
1 0 4	32.97	100
0 0 15	33.73	38
1 0 7	35.49	47
0 1 11	40.52	56
1 0 13	43.60	20
1 0 19	54.53	21
1 1 0	56.44	51
1 1 15	67.41	18

Structure:
Cell: 3.2607 3.2607 39.8129 Å, 90.00 90.00 120.00°
Space group R3m (No. 160, hexagonal axes)
Inequivalent atoms, fractional coordinates:
Li 0.0000 0.0000 0.0000 [3 per cell]
Sc 0.0000 0.0000 0.2032 [3 per cell]
Sc 0.0000 0.0000 0.7426 [3 per cell]
Al 0.0000 0.0000 0.4627 [3 per cell]
Al 0.0000 0.0000 0.9409 [3 per cell]
C 0.0000 0.0000 0.1091 [3 per cell]
C 0.0000 0.0000 0.2917 [3 per cell]
O 0.0000 0.0000 0.5080 [3 per cell]
O 0.0000 0.0000 0.8928 [3 per cell]

---

Structure and simulated X-ray powder pattern of LiSc2Al2C2O2 (a cell relaxed with PBE; a wavelength of 1.5418 Å).
Lines closer than 0.1° are merged.

The 10 most intense peaks (2θ = 10–90°), in order of rising 2θ:
index	2θ (°)	I_rel
0 0 6	14.28	93
1 0 4	33.26	100
1 0 7	36.11	46
0 1 8	37.34	40
1 0 10	40.17	24
0 1 11	41.75	73
1 0 13	45.18	23
1 1 0	56.64	60
1 0 19	57.31	21
1 1 15	69.08	21

Structure:
Cell: 3.2501 3.2501 37.2098 Å, 90.00 90.00 120.00°
Space group R3m (No. 160, hexagonal axes)
Inequivalent atoms, fractional coordinates:
Li 0.0000 0.0000 0.0000 [3 per cell]
Sc 0.0000 0.0000 0.4546 [3 per cell]
Sc 0.0000 0.0000 0.9249 [3 per cell]
Al 0.0000 0.0000 0.1799 [3 per cell]
Al 0.0000 0.0000 0.7283 [3 per cell]
C 0.0000 0.0000 0.0808 [3 per cell]
C 0.0000 0.0000 0.8260 [3 per cell]
O 0.0000 0.0000 0.2293 [3 per cell]
O 0.0000 0.0000 0.6200 [3 per cell]

---

Structure and simulated X-ray powder pattern of LiSc2Al2C2O2 (a cell relaxed with PBE; a wavelength of 1.5418 Å).
Lines closer than 0.1° are merged.

The 10 most intense peaks (2θ = 10–90°), in order of rising 2θ:
index	2θ (°)	I_rel
0 0 2	17.64	29
1 1 1	31.18	100
2 0 -2	34.13	50
0 0 4	35.72	26
1 1 -3	37.64	57
2 0 2	39.92	28
1 1 3	41.74	18
0 2 0	49.06	37
3 1 -1	54.92	40
1 1 5	57.12	21

Structure:
Cell: 5.6171 3.7129 10.2171 Å, 90.00 100.24 90.00°
Space group C2/m (No. 12)
Inequivalent atoms, fractional coordinates:
Li 0.0000 0.0000 0.0000 [2 per cell]
Sc 0.0000 0.0000 0.5000 [2 per cell]
Sc 0.0000 0.5000 0.0000 [2 per cell]
Al 0.2374 0.0000 0.2267 [4 per cell]
C 0.1283 0.0000 0.8370 [4 per cell]
O 0.1936 0.5000 0.5926 [4 per cell]

---

Structure and simulated X-ray powder pattern of MgAl2C2 (a cell relaxed with PBE; a wavelength of 1.5418 Å).
Lines closer than 0.1° are merged.

The 10 most intense peaks (2θ = 10–90°), in order of rising 2θ:
index	2θ (°)	I_rel
0 0 1	15.21	6
1 0 1	34.20	100
0 1 2	43.78	77
0 0 3	46.80	21
1 1 0	54.10	54
0 1 3	56.86	8
0 2 1	65.57	15
2 0 2	72.04	16
1 0 4	72.46	10
1 1 3	74.28	30

Structure:
Cell: 3.3906 3.3906 5.8237 Å, 90.00 90.00 120.00°
Space group P-3m1 (No. 164)
Inequivalent atoms, fractional coordinates:
Mg 0.0000 0.0000 0.0000 [1 per cell]
Al 0.3333 0.6667 0.6500 [2 per cell]
C 0.3333 0.6667 0.2701 [2 per cell]

---

Structure and simulated X-ray powder pattern of Mg6AlCO8 (a cell relaxed with PBE; a wavelength of 1.5418 Å).
Lines closer than 0.1° are merged.

The 10 most intense peaks (2θ = 10–90°), in order of rising 2θ:
index	2θ (°)	I_rel
0 0 1	10.01	7
1 0 1	23.65	7
1 1 2	36.72	14
0 0 4	40.84	53
2 0 0	43.55	100
2 0 4	61.22	57
2 2 0	63.28	27
1 1 6	71.66	5
3 1 2	75.45	6
2 2 4	78.10	24

Structure:
Cell: 4.1566 4.1566 8.8385 Å, 90.00 90.00 90.00°
Space group P4/mmm (No. 123)
Inequivalent atoms, fractional coordinates:
Mg 0.0000 0.0000 0.0000 [1 per cell]
Mg 0.0000 0.0000 0.5000 [1 per cell]
Mg 0.0000 0.5000 0.2415 [4 per cell]
Al 0.5000 0.5000 0.5000 [1 per cell]
C 0.5000 0.5000 0.0000 [1 per cell]
O 0.0000 0.0000 0.2472 [2 per cell]
O 0.0000 0.5000 0.0000 [2 per cell]
O 0.0000 0.5000 0.5000 [2 per cell]
O 0.5000 0.5000 0.2952 [2 per cell]

---

Structure and simulated X-ray powder pattern of Mg6AlCO8 (a cell relaxed with PBE; a wavelength of 1.5418 Å).
Lines closer than 0.1° are merged.

The 10 most intense peaks (2θ = 10–90°), in order of rising 2θ:
index	2θ (°)	I_rel
1 0 1	23.75	10
1 1 2	36.66	17
0 0 4	39.38	61
2 0 0	44.11	100
1 0 5	54.92	5
2 0 4	60.60	58
2 2 0	64.15	27
1 1 6	69.63	7
3 1 2	76.22	7
2 2 4	77.94	24

Structure:
Cell: 4.1060 4.1060 9.1522 Å, 90.00 90.00 90.00°
Space group P4/mmm (No. 123)
Inequivalent atoms, fractional coordinates:
Mg 0.0000 0.0000 0.0000 [1 per cell]
Mg 0.0000 0.5000 0.2571 [4 per cell]
Mg 0.5000 0.5000 0.0000 [1 per cell]
Al 0.0000 0.0000 0.5000 [1 per cell]
C 0.5000 0.5000 0.5000 [1 per cell]
O 0.0000 0.0000 0.2905 [2 per cell]
O 0.0000 0.5000 0.0000 [2 per cell]
O 0.0000 0.5000 0.5000 [2 per cell]
O 0.5000 0.5000 0.2214 [2 per cell]